Theoretical XRD peak list
Compound: RbInMo2O8
Radiation: Cu Ka
Structure: a GGA+U-relaxed structure
Intensities are scaled so that the largest is 100.

Peak list (6 most intense, 10° ≤ 2θ ≤ 90°, by angle)
(hkl)  two_theta  Rel. int.
2 1 1  21.1  30
2 0 2  22.6  68
3 1 1  24.7  98
2 1 2  27.1  100
4 1 1  29.0  64
0 2 0  30.0  75

Cell and atoms:
a = 15.6351 Å, b = 5.9596 Å, c = 9.1240 Å
α = 90.00°, β = 90.00°, γ = 90.00°
Space group Pnma (No. 62)
Inequivalent atoms, fractional coordinates:
Rb1 0.1242 0.2500 0.0500 [4 per cell]
In1 0.1140 0.7500 0.6879 [4 per cell]
Mo1 0.0310 0.7500 0.2884 [4 per cell]
Mo2 0.2163 0.2500 0.4913 [4 per cell]
O1 0.0288 0.0059 0.7770 [8 per cell]
O2 0.0433 0.7500 0.4838 [4 per cell]
O3 0.1303 0.7500 0.2007 [4 per cell]
O4 0.1357 0.2500 0.3600 [4 per cell]
O5 0.1815 0.7500 0.8954 [4 per cell]
O6 0.2028 0.5021 0.6010 [8 per cell]


Theoretical XRD peak list
Compound: Ba2Tl2Fe3O10
Radiation: Cu Ka
Structure: a GGA+U-relaxed structure
Intensities are scaled so that the largest is 100.

Peak list (6 most intense, 10° ≤ 2θ ≤ 90°, by angle)
(hkl)  two_theta  Rel. int.
0 1 3  27.2  100
1 0 -3  28.2  48
1 0 3  28.4  59
0 1 -4  30.2  46
1 -1 0  33.5  78
1 1 -1  33.8  42

Cell and atoms:
a = 3.6872 Å, b = 3.8883 Å, c = 18.2708 Å
α = 90.09°, β = 90.26°, γ = 90.16°
Space group P1 (No. 1)
Inequivalent atoms, fractional coordinates:
Ba1 0.0000 0.0000 0.0000 [1 per cell]
Ba2 0.4464 0.4973 0.5402 [1 per cell]
Tl1 0.4639 0.4894 0.8355 [1 per cell]
Tl2 0.9485 0.9933 0.7065 [1 per cell]
Fe1 0.4599 0.0029 0.2567 [1 per cell]
Fe2 0.5206 0.5017 0.1365 [1 per cell]
Fe3 0.9524 0.9965 0.4048 [1 per cell]
O1 0.0161 0.5013 0.0909 [1 per cell]
O2 0.4344 0.5188 0.7219 [1 per cell]
O3 0.4514 0.9962 0.4352 [1 per cell]
O4 0.4574 0.5023 0.2390 [1 per cell]
O5 0.4917 0.4996 0.9468 [1 per cell]
O6 0.5199 0.0019 0.1414 [1 per cell]
O7 0.9366 0.9985 0.5956 [1 per cell]
O8 0.9464 0.0219 0.8209 [1 per cell]
O9 0.9486 0.4966 0.4371 [1 per cell]
O10 0.9594 0.0019 0.3001 [1 per cell]